Record 1
This entry pairs a crystal structure of CoNiSb with its simulated X-ray powder pattern. Radiation: Cu Kα. Structure: a crystal structure in the Materials Project, relaxed with PBE.

Cell and atoms:
```
9
Lattice="4.016 0.000 0.000 -2.008 3.478 0.000 0.000 0.000 9.877" Properties=species:S:1:pos:R:3 pbc="T T T"
Co 0.000 0.000 0.000
Co 0.000 0.000 2.466
Co 0.000 0.000 5.086
Ni 0.000 0.000 7.385
Ni 2.008 1.159 3.665
Ni 2.008 1.159 6.355
Sb 0.000 2.319 4.410
Sb 0.000 2.319 8.367
Sb 2.008 1.159 1.162
```

Main lines, by angle (2θ = 15–90°):
Position (°2θ)	I (rel.)
27.15	359
31.46	768
37.62	330
45.03	676
45.16	1000
53.34	185
53.47	144
56.07	145
65.67	203
83.31	357

Record 2
This entry pairs a crystal structure of Tb11In6Si4 with its simulated X-ray powder pattern. Radiation: Cu Kα. Structure: a crystal structure in the Materials Project, relaxed with PBE.

Cell and atoms:
```
42
Lattice="-5.782 5.782 8.136 5.782 -5.782 8.136 5.782 5.782 -8.136" Properties=species:S:1:pos:R:3 pbc="T T T"
Tb 5.782 2.889 -3.004
Tb 4.016 0.000 1.640
Tb 7.548 0.000 1.640
Tb 0.000 0.000 2.734
Tb 5.782 -1.766 6.496
Tb 2.889 5.782 -3.004
Tb 2.892 0.000 5.132
Tb 3.848 3.848 0.000
Tb 1.934 -1.934 8.136
Tb 5.782 2.889 3.004
Tb 0.000 4.016 1.640
Tb 5.782 1.766 6.496
Tb 0.000 2.892 5.132
Tb -1.934 1.934 8.136
Tb 1.934 1.934 8.136
Tb 2.889 5.782 3.004
Tb 2.892 0.000 11.140
Tb 0.000 7.548 1.640
Tb 0.000 0.000 13.539
Tb -1.766 5.782 6.496
Tb 1.766 5.782 6.496
Tb 0.000 2.892 11.140
In 2.374 2.374 -2.791
In 3.408 -3.408 5.345
In 1.495 1.495 0.000
In 4.287 -4.287 8.136
In 2.374 2.374 2.791
In 3.408 -3.408 10.927
In -3.408 3.408 5.345
In 3.408 3.408 5.345
In -4.287 4.287 8.136
In 4.287 4.287 8.136
In -3.408 3.408 10.927
In 3.408 3.408 10.927
Si 5.782 1.776 0.000
Si 5.782 0.000 4.068
Si 0.000 0.000 6.231
Si 1.776 5.782 0.000
Si 4.005 0.000 8.136
Si 0.000 0.000 10.041
Si 0.000 5.782 4.068
Si 0.000 4.005 8.136
```

Main lines, by angle (2θ = 15–90°):
Position (°2θ)	I (rel.)
28.38	192
32.42	881
32.51	391
32.88	1000
34.85	140
36.12	277
42.50	156
53.46	161
56.37	164
65.35	236

Record 3
This entry pairs a crystal structure of Mg2CuSi3 with its simulated X-ray powder pattern. Radiation: Cu Kα. Structure: a crystal structure in the Materials Project, relaxed with PBE.

Cell and atoms:
```
6
Lattice="2.668 1.540 3.861 -2.668 1.540 3.861 0.000 -3.081 3.861" Properties=species:S:1:pos:R:3 pbc="T T T"
Mg 0.000 0.000 1.474
Mg 0.000 0.000 10.109
Cu 0.000 0.000 5.792
Si -1.334 -0.770 3.861
Si -1.334 0.770 7.723
Si 0.000 1.540 3.861
```

Main lines, by angle (2θ = 15–90°):
Position (°2θ)	I (rel.)
20.69	652
24.65	156
33.59	411
41.12	1000
42.10	592
43.71	391
65.21	236
67.11	202
70.61	216
77.85	162